Record 1
This entry pairs a crystal structure of ZnPtSO with its theoretical PXRD pattern. Radiation: Cu Kα. Structure: DFT lattice parameters and positions (PBE).
No peak broadening, texture or thermal motion is included.

```
data_ZnPtSO
_cell_length_a 6.0790
_cell_length_b 13.2990
_cell_length_c 6.4991
_cell_angle_alpha 90.00
_cell_angle_beta 90.00
_cell_angle_gamma 90.00
_space_group_name_H-M_alt 'P 1'
_space_group_IT_number 1
loop_
_space_group_symop_operation_xyz
'x,y,z'
loop_
_atom_site_label
_atom_site_fract_x
_atom_site_fract_y
_atom_site_fract_z
Zn1 0.0700 0.2415 0.1265
Zn2 0.0700 0.2585 0.6265
Zn3 0.4300 0.7415 0.1265
Zn4 0.4300 0.7585 0.6265
Zn5 0.5700 0.2415 0.3735
Zn6 0.5700 0.2585 0.8735
Zn7 0.9300 0.7415 0.3735
Zn8 0.9300 0.7585 0.8735
Pt1 0.2498 0.0530 0.0144
Pt2 0.2498 0.4470 0.5144
Pt3 0.2502 0.5530 0.0144
Pt4 0.2502 0.9470 0.5144
Pt5 0.7498 0.0530 0.4856
Pt6 0.7498 0.4470 0.9856
Pt7 0.7502 0.5530 0.4856
Pt8 0.7502 0.9470 0.9856
S1 0.0003 0.0106 0.7508
S2 0.0003 0.4894 0.2508
S3 0.9997 0.5106 0.7492
S4 0.9997 0.9894 0.2492
S5 0.5003 0.0106 0.7492
S6 0.5003 0.4894 0.2492
S7 0.4997 0.5106 0.7508
S8 0.4997 0.9894 0.2508
O1 0.2488 0.2434 0.3768
O2 0.2488 0.2566 0.8768
O3 0.2512 0.7434 0.3768
O4 0.2512 0.7566 0.8768
O5 0.7488 0.2434 0.1232
O6 0.7488 0.2566 0.6232
O7 0.7512 0.7434 0.1232
O8 0.7512 0.7566 0.6232
```

Largest 12 diffraction maxima, sorted by position, 2θ from 10° to 90°:
2θ = 13.3°, intensity 63; 2θ = 24.1°, intensity 99; 2θ = 26.8°, intensity 37; 2θ = 27.4°, intensity 30; 2θ = 30.6°, intensity 26; 2θ = 32.4°, intensity 35; 2θ = 33.7°, intensity 100; 2θ = 40.7°, intensity 52; 2θ = 43.0°, intensity 49; 2θ = 45.8°, intensity 41; 2θ = 52.6°, intensity 29; 2θ = 54.9°, intensity 29

=====

Record 2
This entry pairs a crystal structure of SrPtSeO with its theoretical PXRD pattern. Radiation: Cu Kα. Structure: DFT lattice parameters and positions (PBE).
No peak broadening, texture or thermal motion is included.

```
data_SrPtSeO
_cell_length_a 6.2632
_cell_length_b 6.7034
_cell_length_c 14.8440
_cell_angle_alpha 90.00
_cell_angle_beta 90.00
_cell_angle_gamma 90.00
_space_group_name_H-M_alt 'P 1'
_space_group_IT_number 1
loop_
_space_group_symop_operation_xyz
'x,y,z'
loop_
_atom_site_label
_atom_site_fract_x
_atom_site_fract_y
_atom_site_fract_z
Sr1 0.2465 0.0396 0.1952
Sr2 0.2465 0.4604 0.6952
Sr3 0.2535 0.5396 0.1952
Sr4 0.2535 0.9604 0.6952
Sr5 0.7465 0.0396 0.3048
Sr6 0.7465 0.4604 0.8048
Sr7 0.7535 0.5396 0.3048
Sr8 0.7535 0.9604 0.8048
Pt1 0.9996 0.2205 0.9993
Pt2 0.9996 0.2795 0.4993
Pt3 0.0004 0.7205 0.5007
Pt4 0.0004 0.7795 0.0007
Pt5 0.4996 0.2205 0.5007
Pt6 0.4996 0.2795 0.0007
Pt7 0.5004 0.7205 0.9993
Pt8 0.5004 0.7795 0.4993
Se1 0.2119 0.5025 0.9268
Se2 0.2119 0.9975 0.4268
Se3 0.2881 0.0025 0.9268
Se4 0.2881 0.4975 0.4268
Se5 0.7119 0.5025 0.5732
Se6 0.7119 0.9975 0.0732
Se7 0.7881 0.0025 0.5732
Se8 0.7881 0.4975 0.0732
O1 0.0037 0.7102 0.7526
O2 0.0037 0.7898 0.2526
O3 0.4963 0.2102 0.7526
O4 0.4963 0.2898 0.2526
O5 0.5037 0.7102 0.7474
O6 0.5037 0.7898 0.2474
O7 0.9963 0.2102 0.7474
O8 0.9963 0.2898 0.2474
```

Largest 12 diffraction maxima, sorted by position, 2θ from 10° to 90°:
2θ = 11.9°, intensity 100; 2θ = 24.0°, intensity 38; 2θ = 27.9°, intensity 32; 2θ = 29.2°, intensity 33; 2θ = 31.0°, intensity 37; 2θ = 36.1°, intensity 28; 2θ = 37.6°, intensity 25; 2θ = 39.0°, intensity 23; 2θ = 39.4°, intensity 57; 2θ = 41.3°, intensity 19; 2θ = 46.6°, intensity 22; 2θ = 57.8°, intensity 20

=====

Record 3
This entry pairs a crystal structure of Sr8Si2PtO14 with its theoretical PXRD pattern. Radiation: Cu Kα. Structure: DFT lattice parameters and positions (PBE).
No peak broadening, texture or thermal motion is included.

```
data_Sr8Si2PtO14
_cell_length_a 9.8669
_cell_length_b 9.8669
_cell_length_c 7.2015
_cell_angle_alpha 109.44
_cell_angle_beta 109.44
_cell_angle_gamma 33.63
_space_group_name_H-M_alt 'P 1'
_space_group_IT_number 1
loop_
_space_group_symop_operation_xyz
'x,y,z'
loop_
_atom_site_label
_atom_site_fract_x
_atom_site_fract_y
_atom_site_fract_z
Sr1 0.0226 0.0226 0.2990
Sr2 0.1826 0.1884 0.7903
Sr3 0.3317 0.3338 0.5041
Sr4 0.3896 0.4252 0.0395
Sr5 0.5748 0.6104 0.9605
Sr6 0.6662 0.6683 0.4959
Sr7 0.8116 0.8174 0.2097
Sr8 0.9774 0.9774 0.7010
Si1 0.1501 0.1930 0.2049
Si2 0.8070 0.8499 0.7951
Pt1 0.5008 0.4992 0.5000
O1 0.1041 0.0703 0.0376
O2 0.1793 0.6591 0.3563
O3 0.2140 0.1330 0.4287
O4 0.3409 0.8207 0.6437
O5 0.3816 0.0820 0.1506
O6 0.4654 0.4574 0.7433
O7 0.5059 0.0989 0.7962
O8 0.5426 0.5346 0.2567
O9 0.6603 0.1789 0.3597
O10 0.8211 0.3397 0.6403
O11 0.8670 0.7860 0.5713
O12 0.9011 0.4941 0.2038
O13 0.9180 0.6184 0.8494
O14 0.9297 0.8959 0.9624
```

Largest 12 diffraction maxima, sorted by position, 2θ from 10° to 90°:
2θ = 13.1°, intensity 35; 2θ = 13.4°, intensity 30; 2θ = 28.7°, intensity 83; 2θ = 29.6°, intensity 98; 2θ = 31.3°, intensity 100; 2θ = 32.7°, intensity 62; 2θ = 33.5°, intensity 32; 2θ = 37.2°, intensity 31; 2θ = 39.6°, intensity 30; 2θ = 42.3°, intensity 33; 2θ = 42.9°, intensity 29; 2θ = 44.1°, intensity 28

=====

Record 4
This entry pairs a crystal structure of Sr4Pt4O11 with its theoretical PXRD pattern. Radiation: Cu Kα. Structure: DFT lattice parameters and positions (PBE).
No peak broadening, texture or thermal motion is included.

```
data_Sr4Pt4O11
_cell_length_a 5.5318
_cell_length_b 8.0113
_cell_length_c 5.6791
_cell_angle_alpha 90.00
_cell_angle_beta 90.18
_cell_angle_gamma 90.00
_space_group_name_H-M_alt 'P 1'
_space_group_IT_number 1
loop_
_space_group_symop_operation_xyz
'x,y,z'
loop_
_atom_site_label
_atom_site_fract_x
_atom_site_fract_y
_atom_site_fract_z
Sr1 0.0000 0.0000 0.0000
Sr2 0.0051 0.5000 0.8975
Sr3 0.4838 0.0000 0.5115
Sr4 0.5299 0.5000 0.3904
Pt1 0.0090 0.2471 0.4484
Pt2 0.0090 0.7529 0.4484
Pt3 0.5086 0.2392 0.9499
Pt4 0.5086 0.7608 0.9499
O1 0.1000 0.5000 0.4589
O2 0.2045 0.1986 0.7519
O3 0.2045 0.8014 0.7519
O4 0.3082 0.1933 0.2403
O5 0.3082 0.8067 0.2403
O6 0.4602 0.5000 0.9436
O7 0.7020 0.2836 0.6453
O8 0.7020 0.7164 0.6453
O9 0.8147 0.2864 0.1451
O10 0.8147 0.7136 0.1451
O11 0.9096 0.0000 0.4381
```

Largest 12 diffraction maxima, sorted by position, 2θ from 10° to 90°:
2θ = 22.2°, intensity 13; 2θ = 22.4°, intensity 24; 2θ = 31.5°, intensity 23; 2θ = 31.8°, intensity 100; 2θ = 32.4°, intensity 24; 2θ = 45.3°, intensity 13; 2θ = 45.7°, intensity 10; 2θ = 45.9°, intensity 12; 2θ = 56.2°, intensity 17; 2θ = 56.7°, intensity 11; 2θ = 57.4°, intensity 21; 2θ = 75.1°, intensity 10

=====

Record 5
This entry pairs a crystal structure of SrTePtO with its theoretical PXRD pattern. Radiation: Cu Kα. Structure: DFT lattice parameters and positions (PBE).
No peak broadening, texture or thermal motion is included.

```
data_SrTePtO
_cell_length_a 6.9919
_cell_length_b 13.7297
_cell_length_c 7.3810
_cell_angle_alpha 90.00
_cell_angle_beta 90.00
_cell_angle_gamma 90.00
_space_group_name_H-M_alt 'P 1'
_space_group_IT_number 1
loop_
_space_group_symop_operation_xyz
'x,y,z'
loop_
_atom_site_label
_atom_site_fract_x
_atom_site_fract_y
_atom_site_fract_z
Sr1 0.1956 0.1891 0.0931
Sr2 0.1956 0.3109 0.5931
Sr3 0.3044 0.6891 0.0931
Sr4 0.3044 0.8109 0.5931
Sr5 0.6956 0.1891 0.4069
Sr6 0.6956 0.3109 0.9069
Sr7 0.8044 0.6891 0.4069
Sr8 0.8044 0.8109 0.9069
Te1 0.0014 0.0280 0.7316
Te2 0.0014 0.4720 0.2316
Te3 0.4986 0.5280 0.7316
Te4 0.4986 0.9720 0.2316
Te5 0.5014 0.0280 0.7684
Te6 0.5014 0.4720 0.2684
Te7 0.9986 0.5280 0.7684
Te8 0.9986 0.9720 0.2684
Pt1 0.2415 0.5657 0.4710
Pt2 0.2415 0.9343 0.9710
Pt3 0.2585 0.0657 0.4710
Pt4 0.2585 0.4343 0.9710
Pt5 0.7415 0.5657 0.0290
Pt6 0.7415 0.9343 0.5290
Pt7 0.7585 0.0657 0.0290
Pt8 0.7585 0.4343 0.5290
O1 0.1454 0.7105 0.3779
O2 0.1454 0.7895 0.8779
O3 0.3546 0.2105 0.3779
O4 0.3546 0.2895 0.8779
O5 0.6454 0.7105 0.1221
O6 0.6454 0.7895 0.6221
O7 0.8546 0.2105 0.1221
O8 0.8546 0.2895 0.6221
```

Largest 12 diffraction maxima, sorted by position, 2θ from 10° to 90°:
2θ = 12.9°, intensity 90; 2θ = 21.8°, intensity 36; 2θ = 25.5°, intensity 13; 2θ = 30.3°, intensity 14; 2θ = 31.2°, intensity 15; 2θ = 31.5°, intensity 100; 2θ = 35.4°, intensity 63; 2θ = 37.8°, intensity 45; 2θ = 38.9°, intensity 15; 2θ = 41.1°, intensity 16; 2θ = 48.8°, intensity 25; 2θ = 51.3°, intensity 15

=====

Record 6
This entry pairs a crystal structure of SrTePtO with its theoretical PXRD pattern. Radiation: Cu Kα. Structure: DFT lattice parameters and positions (PBE).
No peak broadening, texture or thermal motion is included.

```
data_SrTePtO
_cell_length_a 6.7669
_cell_length_b 7.1870
_cell_length_c 7.2275
_cell_angle_alpha 90.00
_cell_angle_beta 90.00
_cell_angle_gamma 90.00
_space_group_name_H-M_alt 'P 1'
_space_group_IT_number 1
loop_
_space_group_symop_operation_xyz
'x,y,z'
loop_
_atom_site_label
_atom_site_fract_x
_atom_site_fract_y
_atom_site_fract_z
Sr1 0.1132 0.1138 0.3781
Sr2 0.3868 0.8862 0.8781
Sr3 0.6132 0.3862 0.6219
Sr4 0.8868 0.6138 0.1219
Te1 0.0841 0.5680 0.5764
Te2 0.4159 0.4320 0.0764
Te3 0.5841 0.9320 0.4236
Te4 0.9159 0.0680 0.9236
Pt1 0.1258 0.3562 0.8591
Pt2 0.3742 0.6438 0.3591
Pt3 0.6258 0.1438 0.1409
Pt4 0.8742 0.8562 0.6409
O1 0.0914 0.9083 0.0932
O2 0.4086 0.0917 0.5932
O3 0.5914 0.5917 0.9068
O4 0.9086 0.4083 0.4068
```

Largest 12 diffraction maxima, sorted by position, 2θ from 10° to 90°:
2θ = 17.4°, intensity 24; 2θ = 18.0°, intensity 48; 2θ = 27.7°, intensity 23; 2θ = 28.0°, intensity 16; 2θ = 29.2°, intensity 21; 2θ = 30.7°, intensity 100; 2θ = 31.7°, intensity 50; 2θ = 41.9°, intensity 18; 2θ = 44.5°, intensity 13; 2θ = 47.4°, intensity 31; 2θ = 48.1°, intensity 20; 2θ = 49.3°, intensity 30

=====

Record 7
This entry pairs a crystal structure of TmZn3Pt4O12 with its theoretical PXRD pattern. Radiation: Cu Kα. Structure: DFT lattice parameters and positions (PBE).
No peak broadening, texture or thermal motion is included.

```
data_TmZn3Pt4O12
_cell_length_a 6.5995
_cell_length_b 6.5995
_cell_length_c 6.5995
_cell_angle_alpha 109.47
_cell_angle_beta 109.47
_cell_angle_gamma 109.47
_space_group_name_H-M_alt 'P 1'
_space_group_IT_number 1
loop_
_space_group_symop_operation_xyz
'x,y,z'
loop_
_atom_site_label
_atom_site_fract_x
_atom_site_fract_y
_atom_site_fract_z
Tm1 0.0000 0.0000 0.0000
Zn1 0.0000 0.5000 0.5000
Zn2 0.5000 0.0000 0.5000
Zn3 0.5000 0.5000 0.0000
Pt1 0.0000 0.0000 0.5000
Pt2 0.0000 0.5000 0.0000
Pt3 0.5000 0.0000 0.0000
Pt4 0.5000 0.5000 0.5000
O1 0.1292 0.2948 0.8344
O2 0.1656 0.4604 0.2948
O3 0.1656 0.8708 0.7052
O4 0.2948 0.1656 0.4604
O5 0.2948 0.8344 0.1292
O6 0.4604 0.2948 0.1656
O7 0.5396 0.7052 0.8344
O8 0.7052 0.1656 0.8708
O9 0.7052 0.8344 0.5396
O10 0.8344 0.1292 0.2948
O11 0.8344 0.5396 0.7052
O12 0.8708 0.7052 0.1656
```

Largest 12 diffraction maxima, sorted by position, 2θ from 10° to 90°:
2θ = 16.5°, intensity 5; 2θ = 23.3°, intensity 17; 2θ = 33.3°, intensity 100; 2θ = 41.0°, intensity 3; 2θ = 44.5°, intensity 3; 2θ = 47.7°, intensity 22; 2θ = 53.8°, intensity 8; 2θ = 59.4°, intensity 45; 2θ = 69.8°, intensity 13; 2θ = 74.7°, intensity 3; 2θ = 79.6°, intensity 18; 2θ = 89.0°, intensity 5

=====

Record 8
This entry pairs a crystal structure of RbRe2O4 with its theoretical PXRD pattern. Radiation: Cu Kα. Structure: DFT lattice parameters and positions (PBE).
No peak broadening, texture or thermal motion is included.

```
data_RbRe2O4
_cell_length_a 6.6453
_cell_length_b 6.6453
_cell_length_c 6.6453
_cell_angle_alpha 121.16
_cell_angle_beta 121.16
_cell_angle_gamma 88.01
_space_group_name_H-M_alt 'P 1'
_space_group_IT_number 1
loop_
_space_group_symop_operation_xyz
'x,y,z'
loop_
_atom_site_label
_atom_site_fract_x
_atom_site_fract_y
_atom_site_fract_z
Rb1 0.3750 0.6250 0.7500
Rb2 0.6250 0.3750 0.2500
Re1 0.0000 0.0000 0.0000
Re2 0.0000 0.0000 0.5000
Re3 0.0000 0.5000 0.0000
Re4 0.5000 0.0000 0.5000
O1 0.1627 0.2165 0.9462
O2 0.2165 0.1627 0.4462
O3 0.2165 0.7703 0.0538
O4 0.2297 0.7835 0.4462
O5 0.7703 0.2165 0.5538
O6 0.7835 0.2297 0.9462
O7 0.7835 0.8373 0.5538
O8 0.8373 0.7835 0.0538
```

Largest 12 diffraction maxima, sorted by position, 2θ from 10° to 90°:
2θ = 16.4°, intensity 87; 2θ = 31.2°, intensity 51; 2θ = 32.1°, intensity 100; 2θ = 33.2°, intensity 77; 2θ = 37.6°, intensity 15; 2θ = 39.0°, intensity 28; 2θ = 49.7°, intensity 19; 2θ = 51.4°, intensity 35; 2θ = 55.3°, intensity 44; 2θ = 56.4°, intensity 21; 2θ = 65.2°, intensity 15; 2θ = 67.0°, intensity 25